(1)
Diffraction record for CoCu2Br4. The powder diffractogram is simulated, not measured: it uses a PBE-relaxed structure and copper Kα.
Lines closer than 0.1° are merged.

Atomic structure:
Cell lengths 7.2966, 7.2966, 7.2966 Å; angles 133.56, 133.56, 67.78 degrees
Element x y z (fractional)
Co1 0.0000 0.0000 0.0000
Cu1 0.0000 0.5000 0.5000
Cu2 0.5000 0.0000 0.5000
Br1 0.1243 0.6407 0.0000
Br2 0.3593 0.3593 0.4836
Br3 0.6407 0.1243 0.0000
Br4 0.8757 0.8757 0.5164

Top 10 peaks for 10 to 90 degrees two-theta, low angle first:
- 2θ 14.6, intensity 484
- 2θ 17.1, intensity 145
- 2θ 26.4, intensity 1000
- 2θ 34.5, intensity 127
- 2θ 43.4, intensity 614
- 2θ 44.5, intensity 288
- 2θ 50.5, intensity 150
- 2θ 52.5, intensity 279
- 2θ 69.6, intensity 111
- 2θ 81.2, intensity 180

(2)
Diffraction record for LaPm4Y6. The powder diffractogram is simulated, not measured: it uses a PBE-relaxed structure and copper Kα.
Lines closer than 0.1° are merged.

Atomic structure:
Cell lengths 5.6800, 5.6800, 26.1348 Å; angles 90.00, 90.00, 118.23 degrees
Element x y z (fractional)
La1 0.1864 0.8136 0.7500
La2 0.8136 0.1864 0.2500
Pm1 0.1573 0.8427 0.0433
Pm2 0.1573 0.8427 0.4567
Pm3 0.4703 0.5297 0.1224
Pm4 0.4703 0.5297 0.3776
Pm5 0.5297 0.4703 0.6224
Pm6 0.5297 0.4703 0.8776
Pm7 0.8427 0.1573 0.5433
Pm8 0.8427 0.1573 0.9567
Y1 0.1427 0.8573 0.1811
Y2 0.1427 0.8573 0.3189
Y3 0.1882 0.8118 0.6009
Y4 0.1882 0.8118 0.8991
Y5 0.4780 0.5220 0.2500
Y6 0.5000 0.5000 0.0000
Y7 0.5000 0.5000 0.5000
Y8 0.5220 0.4780 0.7500
Y9 0.8118 0.1882 0.1009
Y10 0.8118 0.1882 0.3991
Y11 0.8573 0.1427 0.6811
Y12 0.8573 0.1427 0.8189

Top 10 peaks for 10 to 90 degrees two-theta, low angle first:
- 2θ 29.9, intensity 617
- 2θ 30.2, intensity 474
- 2θ 30.7, intensity 632
- 2θ 31.5, intensity 1000
- 2θ 31.7, intensity 150
- 2θ 32.7, intensity 457
- 2θ 43.5, intensity 342
- 2θ 55.1, intensity 202
- 2θ 55.5, intensity 191
- 2θ 56.7, intensity 168

(3)
Diffraction record for NdBr3O6. The powder diffractogram is simulated, not measured: it uses a PBE-relaxed structure and copper Kα.
Lines closer than 0.1° are merged.

Atomic structure:
Cell lengths 5.5576, 6.4916, 11.8914 Å; angles 90.00, 96.14, 90.00 degrees
Element x y z (fractional)
Nd1 0.0000 0.1144 0.2500
Nd2 0.0000 0.8856 0.7500
Br1 0.2029 0.3070 0.9656
Br2 0.2029 0.6930 0.4656
Br3 0.5000 0.4722 0.7500
Br4 0.5000 0.5278 0.2500
Br5 0.7971 0.3070 0.5344
Br6 0.7971 0.6930 0.0344
O1 0.1721 0.1484 0.0808
O2 0.1721 0.8516 0.5808
O3 0.2343 0.1503 0.8474
O4 0.2343 0.8497 0.3474
O5 0.2944 0.3692 0.3123
O6 0.2944 0.6308 0.8123
O7 0.7056 0.3692 0.1877
O8 0.7056 0.6308 0.6877
O9 0.7657 0.1503 0.6526
O10 0.7657 0.8497 0.1526
O11 0.8279 0.1484 0.4192
O12 0.8279 0.8516 0.9192

Top 10 peaks for 10 to 90 degrees two-theta, low angle first:
- 2θ 21.1, intensity 617
- 2θ 23.0, intensity 1000
- 2θ 25.0, intensity 318
- 2θ 26.5, intensity 254
- 2θ 27.0, intensity 530
- 2θ 29.8, intensity 392
- 2θ 30.2, intensity 288
- 2θ 31.4, intensity 267
- 2θ 34.3, intensity 274
- 2θ 43.0, intensity 256

(4)
Diffraction record for Cs2CdH5. The powder diffractogram is simulated, not measured: it uses a PBE-relaxed structure and copper Kα.
Lines closer than 0.1° are merged.

Atomic structure:
Cell lengths 6.4126, 6.4126, 6.4126 Å; angles 118.46, 118.46, 92.70 degrees
Element x y z (fractional)
Cs1 0.0000 0.5000 0.5000
Cs2 0.5000 0.0000 0.5000
Cd1 0.2807 0.2807 0.0000
H1 0.0371 0.0371 0.6122
H2 0.0371 0.4248 0.0000
H3 0.4248 0.0371 0.0000
H4 0.4248 0.4248 0.3878
H5 0.4904 0.4904 0.0000

Top 10 peaks for 10 to 90 degrees two-theta, low angle first:
- 2θ 16.8, intensity 348
- 2θ 19.1, intensity 186
- 2θ 27.2, intensity 542
- 2θ 27.9, intensity 1000
- 2θ 32.1, intensity 132
- 2θ 34.0, intensity 118
- 2θ 38.8, intensity 215
- 2θ 48.5, intensity 421
- 2θ 49.7, intensity 178
- 2θ 57.6, intensity 116

(5)
Diffraction record for Zn5Re. The powder diffractogram is simulated, not measured: it uses a PBE-relaxed structure and copper Kα.
Lines closer than 0.1° are merged.

Atomic structure:
Cell lengths 5.2410, 5.2410, 6.6522 Å; angles 104.68, 104.68, 29.72 degrees
Element x y z (fractional)
Zn1 0.0000 0.0000 0.0000
Zn2 0.0570 0.0570 0.6156
Zn3 0.3875 0.3875 0.2815
Zn4 0.6667 0.6667 0.3295
Zn5 0.7307 0.7307 0.9428
Re1 0.3310 0.3310 0.6575

Top 10 peaks for 10 to 90 degrees two-theta, low angle first:
- 2θ 13.8, intensity 474
- 2θ 18.1, intensity 291
- 2θ 38.3, intensity 589
- 2θ 40.1, intensity 819
- 2θ 42.2, intensity 582
- 2θ 42.9, intensity 556
- 2θ 43.3, intensity 960
- 2θ 43.6, intensity 1000
- 2θ 56.4, intensity 253
- 2θ 68.0, intensity 323

(6)
Diffraction record for Ti3Co5B2. The powder diffractogram is simulated, not measured: it uses a PBE-relaxed structure and copper Kα.
Lines closer than 0.1° are merged.

Atomic structure:
Cell lengths 8.4165, 8.4165, 3.0658 Å; angles 90.00, 90.00, 90.00 degrees
Element x y z (fractional)
Ti1 0.0000 0.0000 0.0000
Ti2 0.1743 0.3257 0.0000
Ti3 0.3257 0.8257 0.0000
Ti4 0.5000 0.5000 0.0000
Ti5 0.6743 0.1743 0.0000
Ti6 0.8257 0.6743 0.0000
Co1 0.0000 0.5000 0.5000
Co2 0.0712 0.7798 0.5000
Co3 0.2202 0.0712 0.5000
Co4 0.2798 0.5712 0.5000
Co5 0.4288 0.2798 0.5000
Co6 0.5000 0.0000 0.5000
Co7 0.5712 0.7202 0.5000
Co8 0.7202 0.4288 0.5000
Co9 0.7798 0.9288 0.5000
Co10 0.9288 0.2202 0.5000
B1 0.1207 0.6207 0.0000
B2 0.3793 0.1207 0.0000
B3 0.6207 0.8793 0.0000
B4 0.8793 0.3793 0.0000

Top 10 peaks for 10 to 90 degrees two-theta, low angle first:
- 2θ 29.1, intensity 219
- 2θ 37.8, intensity 665
- 2θ 38.6, intensity 191
- 2θ 42.3, intensity 349
- 2θ 44.4, intensity 646
- 2θ 45.1, intensity 1000
- 2θ 48.4, intensity 384
- 2θ 49.1, intensity 372
- 2θ 60.4, intensity 232
- 2θ 77.9, intensity 210

(7)
Diffraction record for Nd2DyPd. The powder diffractogram is simulated, not measured: it uses a PBE-relaxed structure and copper Kα.
Lines closer than 0.1° are merged.

Atomic structure:
Cell lengths 6.3687, 6.3687, 9.9066 Å; angles 90.00, 90.00, 144.59 degrees
Element x y z (fractional)
Nd1 0.1354 0.8646 0.5601
Nd2 0.1354 0.8646 0.9399
Nd3 0.8646 0.1354 0.0601
Nd4 0.8646 0.1354 0.4399
Dy1 0.4247 0.5753 0.7500
Dy2 0.5753 0.4247 0.2500
Pd1 0.2634 0.7366 0.2500
Pd2 0.7366 0.2634 0.7500

Top 10 peaks for 10 to 90 degrees two-theta, low angle first:
- 2θ 30.2, intensity 967
- 2θ 30.8, intensity 1000
- 2θ 32.0, intensity 277
- 2θ 33.3, intensity 925
- 2θ 34.7, intensity 259
- 2θ 36.5, intensity 371
- 2θ 46.9, intensity 264
- 2θ 52.4, intensity 225
- 2θ 57.0, intensity 329
- 2θ 57.2, intensity 348

(8)
Diffraction record for MgSn2Pt2. The powder diffractogram is simulated, not measured: it uses a PBE-relaxed structure and copper Kα.
Lines closer than 0.1° are merged.

Atomic structure:
Cell lengths 4.5123, 4.6246, 9.7278 Å; angles 90.00, 90.03, 90.00 degrees
Element x y z (fractional)
Mg1 0.2494 0.2500 0.3283
Mg2 0.7506 0.7500 0.6717
Sn1 0.2502 0.2500 0.0081
Sn2 0.2502 0.2500 0.6695
Sn3 0.7498 0.7500 0.3305
Sn4 0.7498 0.7500 0.9919
Pt1 0.2496 0.7500 0.1654
Pt2 0.2504 0.7500 0.5093
Pt3 0.7496 0.2500 0.4907
Pt4 0.7504 0.2500 0.8346

Top 10 peaks for 10 to 90 degrees two-theta, low angle first:
- 2θ 21.3, intensity 302
- 2θ 27.0, intensity 257
- 2θ 39.0, intensity 261
- 2θ 39.4, intensity 1000
- 2θ 40.0, intensity 244
- 2θ 48.0, intensity 111
- 2θ 57.0, intensity 175
- 2θ 70.8, intensity 187
- 2θ 72.2, intensity 174
- 2θ 84.7, intensity 113

(9)
Diffraction record for Cs2S10I. The powder diffractogram is simulated, not measured: it uses a PBE-relaxed structure and copper Kα.
Lines closer than 0.1° are merged.

Atomic structure:
Cell lengths 9.3752, 17.9061, 5.1414 Å; angles 90.00, 90.00, 90.00 degrees
Element x y z (fractional)
Cs1 0.2011 0.1255 0.0000
Cs2 0.2989 0.6255 0.0000
Cs3 0.7011 0.3745 0.0000
Cs4 0.7989 0.8745 0.0000
S1 0.0058 0.6775 0.5000
S2 0.0376 0.7858 0.5000
S3 0.1041 0.4997 0.5000
S4 0.2306 0.3767 0.1856
S5 0.2306 0.3767 0.8144
S6 0.2694 0.8767 0.1856
S7 0.2694 0.8767 0.8144
S8 0.3959 0.9997 0.5000
S9 0.4624 0.2858 0.5000
S10 0.4942 0.1775 0.5000
S11 0.5058 0.8225 0.5000
S12 0.5376 0.7142 0.5000
S13 0.6041 0.0003 0.5000
S14 0.7306 0.1233 0.1856
S15 0.7306 0.1233 0.8144
S16 0.7694 0.6233 0.1856
S17 0.7694 0.6233 0.8144
S18 0.8959 0.5003 0.5000
S19 0.9624 0.2142 0.5000
S20 0.9942 0.3225 0.5000
I1 0.0000 0.0000 0.5000
I2 0.5000 0.5000 0.5000

Top 10 peaks for 10 to 90 degrees two-theta, low angle first:
- 2θ 10.7, intensity 221
- 2θ 22.1, intensity 390
- 2θ 25.7, intensity 1000
- 2θ 26.4, intensity 917
- 2θ 27.6, intensity 760
- 2θ 32.3, intensity 169
- 2θ 33.9, intensity 233
- 2θ 34.9, intensity 185
- 2θ 37.6, intensity 273
- 2θ 54.3, intensity 166

(10)
Diffraction record for Ba2Mg6Pb3. The powder diffractogram is simulated, not measured: it uses a PBE-relaxed structure and copper Kα.
Lines closer than 0.1° are merged.

Atomic structure:
Cell lengths 8.9457, 8.9457, 4.9092 Å; angles 90.00, 90.00, 120.00 degrees
Element x y z (fractional)
Ba1 0.3333 0.6667 0.0000
Ba2 0.6667 0.3333 0.0000
Mg1 0.0000 0.1936 0.0000
Mg2 0.0000 0.7228 0.5000
Mg3 0.1936 0.0000 0.0000
Mg4 0.2772 0.2772 0.5000
Mg5 0.7228 0.0000 0.5000
Mg6 0.8064 0.8064 0.0000
Pb1 0.0000 0.3793 0.5000
Pb2 0.3793 0.0000 0.5000
Pb3 0.6207 0.6207 0.5000

Top 10 peaks for 10 to 90 degrees two-theta, low angle first:
- 2θ 11.4, intensity 183
- 2θ 19.8, intensity 440
- 2θ 27.0, intensity 1000
- 2θ 29.4, intensity 200
- 2θ 34.7, intensity 310
- 2θ 35.7, intensity 233
- 2θ 36.6, intensity 164
- 2θ 42.0, intensity 292
- 2θ 44.5, intensity 194
- 2θ 51.4, intensity 218

(11)
Diffraction record for InC. The powder diffractogram is simulated, not measured: it uses a PBE-relaxed structure and copper Kα.
Lines closer than 0.1° are merged.

Atomic structure:
Cell lengths 2.7369, 2.7369, 24.4758 Å; angles 90.00, 90.00, 120.00 degrees
Element x y z (fractional)
In1 0.3333 0.6667 0.0721
In2 0.3333 0.6667 0.4279
In3 0.6667 0.3333 0.5721
In4 0.6667 0.3333 0.9279
C1 0.0000 0.0000 0.2500
C2 0.0000 0.0000 0.7500
C3 0.3333 0.6667 0.7500
C4 0.6667 0.3333 0.2500

Top 10 peaks for 10 to 90 degrees two-theta, low angle first:
- 2θ 21.8, intensity 1000
- 2θ 29.2, intensity 288
- 2θ 38.0, intensity 157
- 2θ 38.1, intensity 158
- 2θ 39.6, intensity 950
- 2θ 42.4, intensity 395
- 2θ 44.2, intensity 168
- 2θ 51.1, intensity 303
- 2θ 56.7, intensity 264
- 2θ 72.9, intensity 183

(12)
Diffraction record for Y12Ho5Tm2. The powder diffractogram is simulated, not measured: it uses a PBE-relaxed structure and copper Kα.
Lines closer than 0.1° are merged.

Atomic structure:
Cell lengths 6.1454, 9.3944, 11.2225 Å; angles 83.09, 79.51, 70.96 degrees
Element x y z (fractional)
Y1 0.0261 0.0524 0.3426
Y2 0.1313 0.2636 0.7107
Y3 0.1853 0.3685 0.3945
Y4 0.2893 0.5788 0.7642
Y5 0.3938 0.7886 0.1308
Y6 0.4476 0.8945 0.8168
Y7 0.5524 0.1055 0.1832
Y8 0.6062 0.2114 0.8692
Y9 0.7107 0.4212 0.2358
Y10 0.8147 0.6315 0.6055
Y11 0.8687 0.7364 0.2893
Y12 0.9739 0.9476 0.6574
Ho1 0.0787 0.1589 0.0262
Ho2 0.3433 0.6838 0.4478
Ho3 0.5000 0.0000 0.5000
Ho4 0.6567 0.3162 0.5522
Ho5 0.9213 0.8411 0.9738
Tm1 0.2360 0.4740 0.0778
Tm2 0.7640 0.5260 0.9222

Top 10 peaks for 10 to 90 degrees two-theta, low angle first:
- 2θ 30.9, intensity 1000
- 2θ 35.8, intensity 503
- 2θ 51.5, intensity 178
- 2θ 51.5, intensity 177
- 2θ 61.2, intensity 208
- 2θ 61.3, intensity 207
- 2θ 64.3, intensity 89
- 2θ 84.0, intensity 57
- 2θ 84.1, intensity 113
- 2θ 86.8, intensity 119